Structure and theoretical X-ray powder pattern of SbW2SeF (a GGA+U-relaxed structure; Cu Kα (λ = 1.5418 Å)).
Lines closer than 0.1° are merged.

Atomic structure:
Cell lengths 4.519, 4.519, 5.506 Å; angles 90.00, 90.00, 90.00 degrees
Sites, in units of the cell vectors:
Sb  0.000  0.000  0.000
W  0.000  0.500  0.500
W  0.500  0.000  0.500
Se  0.500  0.500  0.000
F  0.500  0.500  0.500

Principal peaks in the range 2θ = 10–90°, in order of rising 2θ:
2θ 16.10, 5.506 Å, rel. 15, (0 0 1)
2θ 32.40, 2.764 Å, rel. 100, (1 1 1)
2θ 32.53, 2.753 Å, rel. 29, (0 0 2)
2θ 39.90, 2.259 Å, rel. 33, (2 0 0)
2θ 52.39, 1.746 Å, rel. 30, (2 0 2)
2θ 57.70, 1.598 Å, rel. 11, (2 2 0)
2θ 57.95, 1.591 Å, rel. 19, (1 1 3)
2θ 67.77, 1.383 Å, rel. 38, (2 2 2)
2θ 81.97, 1.175 Å, rel. 8, (2 0 4)
2θ 86.27, 1.128 Å, rel. 13, (3 1 3)